This entry pairs a crystal structure of Cr2P3O10 with its theoretical X-ray powder pattern. Radiation: λ = 1.5418 Å (Cu Kα). Structure: DFT lattice parameters and positions (GGA+U).
Peak positions follow from Bragg's law for the DFT cell and can differ from measured ones.

Cell and atoms:
```
data_Cr2P3O10
_space_group_name_H-M_alt 'P 1 21/m 1'
_space_group_IT_number 11
_space_group_name_Hall '-P 2yb'
_cell_length_a 4.7185
_cell_length_b 8.5668
_cell_length_c 9.0589
_cell_angle_alpha 90.00
_cell_angle_beta 99.04
_cell_angle_gamma 90.00
loop_
_atom_site_label
_atom_site_type_symbol
_atom_site_fract_x
_atom_site_fract_y
_atom_site_fract_z
Cr1 Cr 0.0550 0.0673 0.3264
P1 P 0.3250 0.2500 0.8139
P2 P 0.3978 0.7500 0.4627
P3 P 0.4803 0.2500 0.1439
O1 O 0.1589 0.1009 0.7920
O2 O 0.2006 0.7500 0.7735
O3 O 0.2334 0.5993 0.4890
O4 O 0.2934 0.2500 0.4461
O5 O 0.3303 0.0990 0.1738
O6 O 0.4259 0.7500 0.2901
O7 O 0.4720 0.7500 0.0296
```

Main lines, most intense first (15° ≤ 2θ ≤ 90°):
| 2theta | intensity | index |
| --- | --- | --- |
| 28.30 | 100 | 1 2 0 |
| 32.99 | 66 | 1 0 -3 |
| 25.34 | 48 | 1 0 -2 |
| 31.60 | 44 | 1 1 2 |
| 19.85 | 28 | 0 0 2 |
| 25.14 | 24 | 1 1 1 |
| 43.77 | 22 | 1 3 2 |
| 36.72 | 21 | 0 2 3 |
| 57.31 | 19 | 2 3 2 |
| 22.86 | 16 | 1 0 1 |